Computed powder diffractogram of PmHgAu6 for Cu Kα, 1.54184 Å, from a cell relaxed with GGA-PBE.
No peak broadening, texture or thermal motion is included.

Principal peaks in the range 10 to 90 degrees two-theta, low angle first:
index, two_theta, Rel. int.
2 0 0, 32.6, 30
2 0 1, 36.6, 100
2 1 1, 40.3, 68
3 2 0, 60.9, 23
3 2 1, 63.4, 36
4 1 2, 80.1, 22

Structure:
```
data_PmHgAu6
_symmetry_space_group_name_H-M 'P m -3'
_symmetry_Int_Tables_number 200
_symmetry_space_group_name_Hall '-P 2 2 3'
_cell_length_a 5.488
_cell_length_b 5.488
_cell_length_c 5.488
_cell_angle_alpha 90.00
_cell_angle_beta 90.00
_cell_angle_gamma 90.00
loop_
_atom_site_label
_atom_site_fract_x
_atom_site_fract_y
_atom_site_fract_z
Pm1 0.000 0.000 0.000
Hg1 0.500 0.500 0.500
Au1 0.000 0.251 0.500
```

---

Computed powder diffractogram of SrIn11Ag for Cu Kα, 1.54184 Å, from a cell relaxed with GGA-PBE.
No peak broadening, texture or thermal motion is included.

Principal peaks in the range 10 to 90 degrees two-theta, low angle first:
index, two_theta, Rel. int.
1 1 2, 31.7, 50
0 4 2, 32.7, 100
1 1 -3, 33.5, 78
2 2 0, 33.6, 64
2 2 -2, 35.0, 52
2 4 -1, 38.5, 60

Structure:
```
data_SrIn11Ag
_symmetry_space_group_name_H-M 'C 1 2/m 1'
_symmetry_Int_Tables_number 12
_cell_length_a 5.954
_cell_length_b 15.168
_cell_length_c 8.288
_cell_angle_alpha 90.00
_cell_angle_beta 107.16
_cell_angle_gamma 90.00
loop_
_symmetry_equiv_pos_as_xyz
'x,y,z'
'-x,-y,-z'
'-x,y,-z'
'x,-y,z'
'x+1/2,y+1/2,z'
'-x+1/2,-y+1/2,-z'
'-x+1/2,y+1/2,-z'
'x+1/2,-y+1/2,z'
loop_
_atom_site_label
_atom_site_fract_x
_atom_site_fract_y
_atom_site_fract_z
Sr1 0.000 0.000 0.000
In1 0.000 0.000 0.500
In2 0.104 0.397 0.216
In3 0.187 0.176 0.362
In4 0.250 0.250 0.000
Ag1 0.000 0.500 0.500
```

---

Computed powder diffractogram of PaGa for Cu Kα, 1.54184 Å, from a cell relaxed with GGA-PBE.
No peak broadening, texture or thermal motion is included.

Principal peaks in the range 10 to 90 degrees two-theta, low angle first:
index, two_theta, Rel. int.
0 2 0, 20.9, 45
2 2 0, 35.0, 100
0 2 1, 35.6, 100
2 0 1, 40.2, 72
2 4 1, 59.9, 35
2 2 2, 70.6, 33

Structure:
```
data_PaGa
_symmetry_space_group_name_H-M 'C m m m'
_symmetry_Int_Tables_number 65
_symmetry_space_group_name_Hall '-C 2 2'
_cell_length_a 6.433
_cell_length_b 8.518
_cell_length_c 3.126
_cell_angle_alpha 90.00
_cell_angle_beta 90.00
_cell_angle_gamma 90.00
loop_
_atom_site_label
_atom_site_fract_x
_atom_site_fract_y
_atom_site_fract_z
Pa1 0.000 0.228 0.000
Ga1 0.213 0.500 0.500
```

---

Computed powder diffractogram of ErMnTcGe2 for Cu Kα, 1.54184 Å, from a cell relaxed with GGA-PBE.
No peak broadening, texture or thermal motion is included.

Principal peaks in the range 10 to 90 degrees two-theta, low angle first:
index, two_theta, Rel. int.
1 0 3, 33.3, 69
1 1 2, 35.7, 100
2 0 0, 45.1, 50
1 0 5, 47.6, 35
2 1 3, 57.2, 29
2 1 5, 67.7, 24

Structure:
```
data_ErMnTcGe2
_symmetry_space_group_name_H-M 'I -4 m 2'
_symmetry_Int_Tables_number 119
_symmetry_space_group_name_Hall 'I -4 -2'
_cell_length_a 4.019
_cell_length_b 4.019
_cell_length_c 10.857
_cell_angle_alpha 90.00
_cell_angle_beta 90.00
_cell_angle_gamma 90.00
loop_
_atom_site_label
_atom_site_fract_x
_atom_site_fract_y
_atom_site_fract_z
Er1 0.000 0.000 0.000
Mn1 0.000 0.500 0.250
Tc1 0.000 0.500 0.750
Ge1 0.000 0.000 0.384
```

---

Computed powder diffractogram of AgHg2Te2Br for Cu Kα, 1.54184 Å, from a cell relaxed with GGA-PBE.
No peak broadening, texture or thermal motion is included.

Principal peaks in the range 10 to 90 degrees two-theta, low angle first:
index, two_theta, Rel. int.
3 1 0, 21.9, 100
0 0 2, 23.5, 76
3 1 1, 24.9, 63
0 2 1, 25.3, 56
3 3 0, 39.0, 69
3 1 3, 42.2, 77

Structure:
```
data_AgHg2Te2Br
_symmetry_space_group_name_H-M 'C m c 21'
_symmetry_Int_Tables_number 36
_cell_length_a 14.123
_cell_length_b 7.952
_cell_length_c 7.557
_cell_angle_alpha 90.00
_cell_angle_beta 90.00
_cell_angle_gamma 90.00
loop_
_symmetry_equiv_pos_as_xyz
'x,y,z'
'-x,-y,z+1/2'
'-x,y,z'
'x,-y,z+1/2'
'x+1/2,y+1/2,z'
'-x+1/2,-y+1/2,z+1/2'
'-x+1/2,y+1/2,z'
'x+1/2,-y+1/2,z+1/2'
loop_
_atom_site_label
_atom_site_fract_x
_atom_site_fract_y
_atom_site_fract_z
Ag1 0.000 0.144 0.000
Hg1 0.195 0.353 0.515
Te1 0.152 0.325 0.150
Br1 0.000 0.174 0.639
```

---

Computed powder diffractogram of Nd3Sm4Bi4 for Cu Kα, 1.54184 Å, from a cell relaxed with GGA-PBE.
No peak broadening, texture or thermal motion is included.

Principal peaks in the range 10 to 90 degrees two-theta, low angle first:
index, two_theta, Rel. int.
0 1 3, 27.6, 65
4 0 0, 30.3, 28
3 1 1, 31.0, 27
2 1 3, 31.6, 100
4 1 1, 37.1, 27
0 2 0, 40.6, 31

Structure:
```
data_Nd3Sm4Bi4
_symmetry_space_group_name_H-M 'A m m 2'
_symmetry_Int_Tables_number 38
_cell_length_a 11.792
_cell_length_b 4.442
_cell_length_c 14.155
_cell_angle_alpha 90.00
_cell_angle_beta 90.00
_cell_angle_gamma 90.00
loop_
_symmetry_equiv_pos_as_xyz
'x,y,z'
'-x,-y,z'
'-x,y,z'
'x,-y,z'
'x,y+1/2,z+1/2'
'-x,-y+1/2,z+1/2'
'-x,y+1/2,z+1/2'
'x,-y+1/2,z+1/2'
loop_
_atom_site_label
_atom_site_fract_x
_atom_site_fract_y
_atom_site_fract_z
Nd1 0.000 0.000 0.000
Nd2 0.354 0.000 0.073
Sm1 0.000 0.000 0.303
Sm2 0.243 0.000 0.770
Sm3 0.500 0.000 0.371
Bi1 0.000 0.000 0.655
Bi2 0.220 0.000 0.441
Bi3 0.500 0.000 0.698
```

---

Computed powder diffractogram of Cs2NiP2S6 for Cu Kα, 1.54184 Å, from a cell relaxed with GGA-PBE.
No peak broadening, texture or thermal motion is included.

Principal peaks in the range 10 to 90 degrees two-theta, low angle first:
index, two_theta, Rel. int.
1 1 0, 19.2, 32
1 2 -1, 20.2, 36
1 1 -2, 20.5, 34
0 3 1, 23.3, 67
1 2 1, 29.4, 58
1 4 -1, 31.3, 100

Structure:
```
data_Cs2NiP2S6
_symmetry_space_group_name_H-M 'P 1 21/c 1'
_symmetry_Int_Tables_number 14
_cell_length_a 5.968
_cell_length_b 13.044
_cell_length_c 9.549
_cell_angle_alpha 90.00
_cell_angle_beta 123.89
_cell_angle_gamma 90.00
loop_
_symmetry_equiv_pos_as_xyz
'x,y,z'
'-x,-y,-z'
'-x,y+1/2,-z+1/2'
'x,-y+1/2,z+1/2'
loop_
_atom_site_label
_atom_site_fract_x
_atom_site_fract_y
_atom_site_fract_z
Cs1 0.200 0.172 0.468
Ni1 0.500 0.000 0.000
P1 0.163 0.538 0.618
S1 0.037 0.072 0.772
S2 0.296 0.653 0.540
S3 0.467 0.067 0.230
```

---

Computed powder diffractogram of Li3Rh for Cu Kα, 1.54184 Å, from a cell relaxed with GGA-PBE.
No peak broadening, texture or thermal motion is included.

Principal peaks in the range 10 to 90 degrees two-theta, low angle first:
index, two_theta, Rel. int.
1 1 1, 25.6, 100
2 0 0, 29.7, 51
2 2 0, 42.5, 55
3 1 1, 50.3, 46
3 3 1, 67.9, 18
4 2 2, 77.8, 18

Structure:
```
data_Li3Rh
_symmetry_space_group_name_H-M 'F m -3 m'
_symmetry_Int_Tables_number 225
_symmetry_space_group_name_Hall '-F 4 2 3'
_cell_length_a 6.017
_cell_length_b 6.017
_cell_length_c 6.017
_cell_angle_alpha 90.00
_cell_angle_beta 90.00
_cell_angle_gamma 90.00
loop_
_atom_site_label
_atom_site_fract_x
_atom_site_fract_y
_atom_site_fract_z
Li1 0.000 0.000 0.000
Li2 0.250 0.250 0.250
Rh1 0.000 0.000 0.500
```

---

Computed powder diffractogram of CdH6Pd8 for Cu Kα, 1.54184 Å, from a cell relaxed with GGA-PBE.
No peak broadening, texture or thermal motion is included.

Principal peaks in the range 10 to 90 degrees two-theta, low angle first:
index, two_theta, Rel. int.
2 -1 1, 38.4, 97
3 0 0, 39.1, 100
2 2 1, 55.9, 30
1 1 2, 68.9, 12
5 -1 1, 70.3, 29
3 3 0, 70.8, 15

Structure:
```
data_CdH6Pd8
_symmetry_space_group_name_H-M 'P -3'
_symmetry_Int_Tables_number 147
_cell_length_a 7.9822
_cell_length_b 7.9822
_cell_length_c 2.9001
_cell_angle_alpha 90.00
_cell_angle_beta 90.00
_cell_angle_gamma 120.00
loop_
_symmetry_equiv_pos_as_xyz
'x,y,z'
'-x,-y,-z'
'-y,x-y,z'
'y,-x+y,-z'
'-x+y,-x,z'
'x-y,x,-z'
loop_
_atom_site_label
_atom_site_fract_x
_atom_site_fract_y
_atom_site_fract_z
Cd1 0.0000 0.0000 0.0000
H1 0.1483 0.4371 0.8168
Pd1 0.0196 0.6785 0.6867
Pd2 0.3333 0.6667 0.1160
```

---

Computed powder diffractogram of Ho2SiNi6B for Cu Kα, 1.54184 Å, from a cell relaxed with GGA-PBE.
No peak broadening, texture or thermal motion is included.

Principal peaks in the range 10 to 90 degrees two-theta, low angle first:
index, two_theta, Rel. int.
1 1 -1, 21.9, 26
1 1 -2, 32.7, 57
3 1 0, 37.2, 39
2 2 0, 40.4, 100
1 1 2, 42.1, 41
4 0 0, 44.6, 65

Structure:
```
data_Ho2SiNi6B
_symmetry_space_group_name_H-M 'C 1 2/m 1'
_symmetry_Int_Tables_number 12
_cell_length_a 9.272
_cell_length_b 5.342
_cell_length_c 6.443
_cell_angle_alpha 90.00
_cell_angle_beta 118.72
_cell_angle_gamma 90.00
loop_
_symmetry_equiv_pos_as_xyz
'x,y,z'
'-x,-y,-z'
'-x,y,-z'
'x,-y,z'
'x+1/2,y+1/2,z'
'-x+1/2,-y+1/2,-z'
'-x+1/2,y+1/2,-z'
'x+1/2,-y+1/2,z'
loop_
_atom_site_label
_atom_site_fract_x
_atom_site_fract_y
_atom_site_fract_z
Ho1 0.220 0.000 0.161
Si1 0.000 0.500 0.000
Ni1 0.030 0.267 0.323
Ni2 0.237 0.000 0.677
B1 0.000 0.000 0.500
```

---

Computed powder diffractogram of Mg7Ag for Cu Kα, 1.54184 Å, from a cell relaxed with GGA-PBE.
No peak broadening, texture or thermal motion is included.

Principal peaks in the range 10 to 90 degrees two-theta, low angle first:
index, two_theta, Rel. int.
1 0 1, 21.0, 32
1 0 3, 25.1, 22
1 1 4, 35.2, 100
2 0 0, 41.5, 31
2 0 8, 58.6, 21
3 1 4, 71.6, 23

Structure:
```
data_Mg7Ag
_symmetry_space_group_name_H-M 'I 4/m m m'
_symmetry_Int_Tables_number 139
_symmetry_space_group_name_Hall '-I 4 2'
_cell_length_a 4.352
_cell_length_b 4.352
_cell_length_c 18.271
_cell_angle_alpha 90.00
_cell_angle_beta 90.00
_cell_angle_gamma 90.00
loop_
_atom_site_label
_atom_site_fract_x
_atom_site_fract_y
_atom_site_fract_z
Mg1 0.000 0.000 0.000
Mg2 0.000 0.000 0.248
Mg3 0.000 0.500 0.119
Ag1 0.000 0.000 0.500
```

---

Computed powder diffractogram of Ba8Si43Ni3 for Cu Kα, 1.54184 Å, from a cell relaxed with GGA-PBE.
No peak broadening, texture or thermal motion is included.

Principal peaks in the range 10 to 90 degrees two-theta, low angle first:
index, two_theta, Rel. int.
1 2 2, 21.0, 30
0 0 6, 29.9, 27
1 2 5, 31.1, 32
2 3 2, 32.4, 100
4 0 4, 34.7, 24
2 5 6, 54.6, 37

Structure:
```
data_Ba8Si43Ni3
_symmetry_space_group_name_H-M 'R 3 2'
_symmetry_Int_Tables_number 155
_symmetry_space_group_name_Hall 'R 3 2"'
_cell_length_a 14.6503
_cell_length_b 14.6503
_cell_length_c 17.9126
_cell_angle_alpha 90.00
_cell_angle_beta 90.00
_cell_angle_gamma 120.00
loop_
_atom_site_label
_atom_site_fract_x
_atom_site_fract_y
_atom_site_fract_z
Ba1 0.0000 0.0000 0.2466
Ba2 0.0000 0.2370 0.0000
Ba3 0.0000 0.7368 0.5000
Si1 0.0000 0.0000 0.0660
Si2 0.0000 0.0000 0.4348
Si3 0.0000 0.2492 0.5000
Si4 0.0177 0.8500 0.1010
Si5 0.0271 0.1669 0.6094
Si6 0.0641 0.2432 0.1872
Si7 0.0636 0.8079 0.6858
Si8 0.0868 0.5430 0.4766
Si9 0.0879 0.5447 0.9796
Ni1 0.0000 0.7505 0.0000
```